# Ho2Bi2O7
Computed X-ray powder pattern, a wavelength of 1.5418 Å. Input: a structure optimized by DFT (GGA-PBE).
Kinematic intensities with the Lorentz-polarization factor, no thermal factor.

Crystal structure
abc: 5.5405 5.5405 5.3785
angles: 93.43 93.43 95.74
Fractional positions:
1 Ho 0.2321 0.7679 0.0000
2 Ho 0.7679 0.2321 0.0000
3 Bi 0.2276 0.2276 0.5018
4 Bi 0.7360 0.7360 0.5341
5 O 0.0183 0.0183 0.7517
6 O 0.0987 0.4867 0.2744
7 O 0.4446 0.4446 0.7799
8 O 0.4867 0.0987 0.2744
9 O 0.5312 0.9377 0.7880
10 O 0.9377 0.5312 0.7880
11 O 0.9809 0.9809 0.2490

Most intense lines, 10° ≤ 2θ ≤ 80°, by angle:
| d_spacing | 2θ (°) | I/Imax |
| --- | --- | --- |
| 3.260 | 27.35 | 100 |
| 3.181 | 28.05 | 44 |
| 2.926 | 30.56 | 41 |
| 2.750 | 32.56 | 48 |
| 1.986 | 45.69 | 30 |
| 1.858 | 49.02 | 25 |


# Rb2Ho2BiO6
Computed X-ray powder pattern, a wavelength of 1.5418 Å. Input: a structure optimized by DFT (GGA-PBE).
Kinematic intensities with the Lorentz-polarization factor, no thermal factor.

Crystal structure
abc: 6.0173 6.0173 6.9928
angles: 98.05 98.05 120.00
Fractional positions:
1 Rb 0.1663 0.8337 0.0000
2 Rb 0.8337 0.1663 0.0000
3 Ho 0.3344 0.6656 0.5000
4 Ho 0.6656 0.3344 0.5000
5 Bi 0.0000 0.0000 0.5000
6 O 0.0502 0.3906 0.6689
7 O 0.2744 0.2744 0.3304
8 O 0.3906 0.0502 0.6689
9 O 0.6094 0.9498 0.3311
10 O 0.7256 0.7256 0.6696
11 O 0.9498 0.6094 0.3311

Most intense lines, 10° ≤ 2θ ≤ 80°, by angle:
| d_spacing | 2θ (°) | I/Imax |
| --- | --- | --- |
| 6.713 | 13.19 | 100 |
| 3.356 | 26.56 | 50 |
| 2.883 | 31.02 | 89 |
| 2.586 | 34.68 | 75 |
| 2.575 | 34.85 | 36 |
| 1.737 | 52.70 | 34 |


# HoReBi2O8
Computed X-ray powder pattern, a wavelength of 1.5418 Å. Input: a structure optimized by DFT (GGA-PBE).
Kinematic intensities with the Lorentz-polarization factor, no thermal factor.

Crystal structure
abc: 5.2232 6.6961 5.2274
angles: 90.00 90.52 90.00
Fractional positions:
1 Ho 0.0000 0.0000 0.0000
2 Re 0.0000 0.5000 0.0000
3 Bi 0.5000 0.2514 0.5000
4 Bi 0.5000 0.7486 0.5000
5 O 0.1791 0.2848 0.1745
6 O 0.1791 0.7152 0.1745
7 O 0.2467 0.5000 0.7471
8 O 0.3030 0.0000 0.6941
9 O 0.6970 0.0000 0.3059
10 O 0.7533 0.5000 0.2529
11 O 0.8209 0.2848 0.8255
12 O 0.8209 0.7152 0.8255

Most intense lines, 10° ≤ 2θ ≤ 80°, by angle:
| d_spacing | 2θ (°) | I/Imax |
| --- | --- | --- |
| 3.712 | 23.98 | 57 |
| 3.678 | 24.20 | 59 |
| 2.819 | 31.74 | 100 |
| 2.613 | 34.33 | 34 |
| 1.921 | 47.32 | 38 |
| 1.912 | 47.57 | 41 |


# HoBiRhO6
Computed X-ray powder pattern, a wavelength of 1.5418 Å. Input: a structure optimized by DFT (GGA-PBE).
Kinematic intensities with the Lorentz-polarization factor, no thermal factor.

Crystal structure
abc: 5.4919 5.4919 9.3072
angles: 90.00 90.00 120.00
Fractional positions:
1 Ho 0.3333 0.6667 0.2500
2 Ho 0.6667 0.3333 0.7500
3 Bi 0.0000 0.0000 0.0000
4 Bi 0.0000 0.0000 0.5000
5 Rh 0.3333 0.6667 0.7500
6 Rh 0.6667 0.3333 0.2500
7 O 0.0327 0.3663 0.6292
8 O 0.0327 0.6664 0.8708
9 O 0.3336 0.3663 0.8708
10 O 0.3336 0.9673 0.6292
11 O 0.3663 0.0327 0.1292
12 O 0.3663 0.3336 0.3708
13 O 0.6337 0.6664 0.6292
14 O 0.6337 0.9673 0.8708
15 O 0.6664 0.0327 0.3708
16 O 0.6664 0.6337 0.1292
17 O 0.9673 0.3336 0.1292
18 O 0.9673 0.6337 0.3708

Most intense lines, 10° ≤ 2θ ≤ 80°, by angle:
| d_spacing | 2θ (°) | I/Imax |
| --- | --- | --- |
| 3.326 | 26.80 | 100 |
| 2.746 | 32.61 | 47 |
| 2.118 | 42.70 | 29 |
| 1.775 | 51.48 | 39 |
| 1.677 | 54.74 | 28 |
| 1.585 | 58.19 | 15 |


# HoBiTeO6
Computed X-ray powder pattern, a wavelength of 1.5418 Å. Input: a structure optimized by DFT (GGA-PBE).
Kinematic intensities with the Lorentz-polarization factor, no thermal factor.

Crystal structure
abc: 5.6169 5.6169 9.6509
angles: 90.00 90.00 120.00
Fractional positions:
1 Ho 0.3333 0.6667 0.2500
2 Ho 0.6667 0.3333 0.7500
3 Bi 0.0000 0.0000 0.0000
4 Bi 0.0000 0.0000 0.5000
5 Te 0.3333 0.6667 0.7500
6 Te 0.6667 0.3333 0.2500
7 O 0.0399 0.3793 0.6368
8 O 0.0399 0.6606 0.8632
9 O 0.3394 0.3793 0.8632
10 O 0.3394 0.9601 0.6368
11 O 0.3793 0.0399 0.1368
12 O 0.3793 0.3394 0.3632
13 O 0.6207 0.6606 0.6368
14 O 0.6207 0.9601 0.8632
15 O 0.6606 0.0399 0.3632
16 O 0.6606 0.6207 0.1368
17 O 0.9601 0.3394 0.1368
18 O 0.9601 0.6207 0.3632

Most intense lines, 10° ≤ 2θ ≤ 80°, by angle:
| d_spacing | 2θ (°) | I/Imax |
| --- | --- | --- |
| 3.426 | 26.01 | 100 |
| 2.808 | 31.86 | 48 |
| 2.172 | 41.58 | 29 |
| 1.830 | 49.83 | 40 |
| 1.718 | 53.32 | 28 |
| 1.621 | 56.78 | 15 |